Record 1
Dy5TmCd6: calculated powder diffractogram (CuKα), based on a structure optimized by DFT (PBE).

Crystal structure
```
Dy5TmCd6
1.0
2.6351 -7.9224 0.0000
2.6351 7.9224 0.0000
0.0000 0.0000 7.4906
Dy Tm Cd
5 1 6
Cartesian
0.0000 0.0000 0.0000
2.6351 2.6552 0.0000
2.6351 2.6288 3.7453
2.6351 -2.6288 3.7453
2.6351 -2.6552 0.0000
0.0000 0.0000 3.7453
2.6351 5.2940 1.8887
2.6351 5.2940 5.6020
2.6351 0.0000 1.8828
2.6351 0.0000 5.6078
2.6351 -5.2940 1.8887
2.6351 -5.2940 5.6020
```

Largest 8 diffraction maxima, in order of falling intensity, 10° ≤ 2θ ≤ 90°:
d/Å	two_theta	Rel. int.
2.643	33.9	1000
1.524	60.8	291
2.635	34.0	199
1.527	60.6	146
1.865	48.8	142
1.321	71.4	112
1.180	81.6	94
1.873	48.6	72

***

Record 2
TaTl2Mo: calculated powder diffractogram (CuKα), based on a structure optimized by DFT (PBE).

Crystal structure
```
TaTl2Mo
1.0
3.3122 0.0000 0.0000
0.0000 3.3129 0.0000
-1.6459 0.0000 8.2808
Ta Tl Mo
1 2 1
Cartesian
0.0000 0.0000 0.0000
1.6451 1.6564 2.1717
1.6648 0.0000 4.9711
0.0022 1.6564 7.0272
```

Largest 8 diffraction maxima, in order of falling intensity, 10° ≤ 2θ ≤ 90°:
d/Å	two_theta	Rel. int.
2.319	38.8	1000
2.587	34.7	972
2.342	38.4	854
3.248	27.5	472
1.656	55.5	438
2.760	32.4	376
1.352	69.5	304
1.447	64.4	302

***

Record 3
Sm3Er2Pb4: calculated powder diffractogram (CuKα), based on a structure optimized by DFT (PBE).

Crystal structure
```
Sm3Er2Pb4
1.0
-2.6069 3.3073 8.0122
2.6069 -3.3073 8.0122
2.6069 3.3073 -8.0122
Sm Er Pb
3 2 4
Cartesian
0.0000 0.0000 0.0000
2.6069 0.0000 6.1473
0.0000 3.3073 1.8650
2.6069 0.0000 2.5931
0.0000 3.3073 5.4191
0.0000 0.0000 4.0308
2.6069 1.8344 0.0000
0.0000 1.4729 8.0122
0.0000 0.0000 11.9937
```

Largest 8 diffraction maxima, in order of falling intensity, 10° ≤ 2θ ≤ 90°:
d/Å	two_theta	Rel. int.
2.864	31.2	1000
2.607	34.4	396
3.057	29.2	272
2.475	36.3	265
2.751	32.5	241
3.307	27.0	188
1.984	45.7	165
1.550	59.7	162

***

Record 4
Er6Ni2Pb: calculated powder diffractogram (CuKα), based on a structure optimized by DFT (PBE).

Crystal structure
```
Er6Ni2Pb
1.0
-4.6305 4.8441 5.0495
4.6305 -4.8441 5.0495
4.6305 4.8441 -5.0495
Er Ni Pb
12 4 2
Cartesian
4.6305 2.8215 -2.7096
2.7287 1.7653 0.0000
6.5324 1.7653 0.0000
1.7645 4.8441 -1.7628
2.8660 0.0000 3.2867
0.0000 2.0226 2.3399
4.6305 2.8215 2.7096
1.7645 4.8441 1.7628
2.8660 0.0000 6.8122
-1.9018 3.0788 5.0495
1.9018 3.0788 5.0495
0.0000 2.0226 7.7591
4.6305 0.0000 1.2568
0.0000 3.4287 0.0000
0.0000 6.2595 0.0000
0.0000 4.8441 3.7927
0.0000 0.0000 0.0000
0.0000 0.0000 5.0495
```

Largest 8 diffraction maxima, in order of falling intensity, 10° ≤ 2θ ≤ 90°:
d/Å	two_theta	Rel. int.
2.790	32.1	1000
2.610	34.4	558
2.523	35.6	347
2.941	30.4	311
2.621	34.2	296
2.562	35.0	266
1.531	60.5	264
2.315	38.9	165

***

Record 5
Li5Ca2Mg5: calculated powder diffractogram (CuKα), based on a structure optimized by DFT (PBE).

Crystal structure
```
Li5Ca2Mg5
1.0
4.7857 0.0000 0.0000
0.0000 6.0527 0.0000
0.0000 0.0000 10.3965
Li Ca Mg
5 2 5
Cartesian
0.0000 0.0000 0.0000
2.3928 0.0000 1.6928
2.3928 0.0000 8.7037
2.3928 3.0263 3.4593
2.3928 3.0263 6.9372
2.3928 0.0000 5.1983
2.3928 3.0263 0.0000
0.0000 1.5109 2.5386
0.0000 1.5109 7.8580
0.0000 3.0263 5.1983
0.0000 4.5417 2.5386
0.0000 4.5417 7.8580
```

Largest 8 diffraction maxima, in order of falling intensity, 10° ≤ 2θ ≤ 90°:
d/Å	two_theta	Rel. int.
3.526	25.3	1000
2.615	34.3	432
2.546	35.2	339
2.558	35.1	293
1.765	51.8	248
2.393	37.6	222
2.599	34.5	208
1.823	50.0	131

***

Record 6
Ca3Tl5: calculated powder diffractogram (CuKα), based on a structure optimized by DFT (PBE).

Crystal structure
```
Ca3Tl5
1.0
5.2545 -4.1392 0.0000
5.2545 4.1392 0.0000
0.0000 0.0000 10.7634
Ca Tl
6 10
Cartesian
5.2545 3.5836 8.0726
2.9393 0.0000 0.0000
2.9393 0.0000 5.3817
7.5698 0.0000 0.0000
7.5698 0.0000 5.3817
5.2545 -3.5836 2.6909
2.9400 2.1465 2.6909
5.2545 2.3836 0.3071
5.2545 2.3836 5.0746
7.5690 2.1465 2.6909
5.2545 0.2270 8.0726
5.2545 -0.2270 2.6909
2.9400 -2.1465 8.0726
5.2545 -2.3836 5.6888
5.2545 -2.3836 10.4563
7.5690 -2.1465 8.0726
```

Largest 8 diffraction maxima, in order of falling intensity, 10° ≤ 2θ ≤ 90°:
d/Å	two_theta	Rel. int.
2.783	32.2	1000
4.143	21.4	272
2.691	33.3	242
2.627	34.1	214
3.760	23.7	190
2.399	37.5	146
1.880	48.4	130
1.571	58.8	126

***

Record 7
LiScAsPd: calculated powder diffractogram (CuKα), based on a structure optimized by DFT (PBE).

Crystal structure
```
LiScAsPd
1.0
6.4304 0.0000 0.0000
0.0000 6.4304 0.0000
0.0000 0.0000 6.4304
Li Sc As Pd
4 4 4 4
Cartesian
0.0000 0.0000 0.0000
0.0000 3.2152 3.2152
3.2152 0.0000 3.2152
3.2152 3.2152 0.0000
0.0000 0.0000 3.2152
0.0000 3.2152 0.0000
3.2152 0.0000 0.0000
3.2152 3.2152 3.2152
1.6076 1.6076 1.6076
1.6076 4.8228 4.8228
4.8228 1.6076 4.8228
4.8228 4.8228 1.6076
1.6076 1.6076 4.8228
1.6076 4.8228 1.6076
4.8228 1.6076 1.6076
4.8228 4.8228 4.8228
```

Largest 8 diffraction maxima, in order of falling intensity, 10° ≤ 2θ ≤ 90°:
d/Å	two_theta	Rel. int.
2.273	39.6	1000
3.215	27.7	436
1.313	71.9	325
1.608	57.3	164
1.438	64.8	160
1.856	49.1	122
3.713	24.0	120
1.137	85.4	103

***

Record 8
InPbCl: calculated powder diffractogram (CuKα), based on a structure optimized by DFT (PBE).

Crystal structure
```
InPbCl
1.0
3.6917 0.0000 0.0000
0.0000 4.3455 0.0000
0.0000 0.0000 10.3653
In Pb Cl
2 2 2
Cartesian
0.0000 0.0000 0.0000
1.8459 2.1727 5.1827
0.0000 0.0000 7.1339
1.8459 2.1727 1.9512
0.0000 0.0000 3.5156
1.8459 2.1727 8.6983
```

Largest 8 diffraction maxima, in order of falling intensity, 10° ≤ 2θ ≤ 90°:
d/Å	two_theta	Rel. int.
2.813	31.8	1000
2.704	33.1	865
2.523	35.6	713
4.008	22.2	467
1.646	55.8	384
3.478	25.6	335
1.525	60.7	298
1.844	49.4	269